Structure and computed XRD peak list of TlSbSe2 (DFT lattice parameters and positions (GGA-PBE); CuKα).
Peak positions follow from Bragg's law for the DFT cell and can differ from measured ones.

Peak list (6 most intense, 10 to 90 degrees two-theta, in order of rising 2θ)
| 2theta | I/Imax |
| --- | --- |
| 11.6 | 54 |
| 20.8 | 28 |
| 23.3 | 64 |
| 30.0 | 100 |
| 34.4 | 26 |
| 42.0 | 87 |

Atomic structure:
Unit cell a=7.942 b=7.942 c=4.273 alpha=90.00 beta=90.00 gamma=148.55
Fractional positions:
Tl 0.000 0.000 0.000
Sb 0.500 0.500 0.500
Se 0.213 0.787 0.000
Se 0.787 0.213 0.000

Structure and computed XRD peak list of TlSbSe2 (DFT lattice parameters and positions (GGA-PBE); CuKα).
Peak positions follow from Bragg's law for the DFT cell and can differ from measured ones.

Peak list (6 most intense, 10 to 90 degrees two-theta, in order of rising 2θ)
| 2theta | I/Imax |
| --- | --- |
| 24.6 | 90 |
| 28.3 | 29 |
| 31.0 | 100 |
| 35.7 | 46 |
| 50.6 | 29 |
| 63.1 | 29 |

Atomic structure:
Unit cell a=4.167 b=7.537 c=7.537 alpha=32.02 beta=90.00 gamma=90.00
Fractional positions:
Tl 0.000 0.000 0.000
Sb 0.500 0.247 0.247
Se 0.000 0.715 0.715
Se 0.500 0.422 0.422